Diffraction record for KNa4Pt. The X-ray powder pattern is simulated, not measured: it uses a crystal structure in Alexandria, relaxed with PBE and Cu Kα (λ = 1.5418 Å).
Neutral-atom scattering factors, no anomalous dispersion.

Atomic structure:
Lattice parameters (Å, degrees): 11.3065 11.3065 11.3065 152.09 137.47 51.64
Positions (direct):
K (0.2135, 0.2135, 0.0000)
K (0.7865, 0.7865, 0.0000)
Na (0.1745, 0.4098, 0.7647)
Na (0.1918, 0.0000, 0.1918)
Na (0.3549, 0.5902, 0.7647)
Na (0.3715, 0.8715, 0.5000)
Na (0.6285, 0.1285, 0.5000)
Na (0.6451, 0.4098, 0.2353)
Na (0.8082, 0.0000, 0.8082)
Na (0.8255, 0.5902, 0.2353)
Pt (0.5000, 0.2524, 0.7524)
Pt (0.5000, 0.7476, 0.2476)

Top 10 peaks for 10° ≤ 2θ ≤ 90°, sorted by position:
2theta  I (rel.)
11.6  100
17.0  42
17.4  19
21.7  12
27.9  15
32.7  14
35.0  14
37.2  13
40.7  19
41.4  20


Diffraction record for Ni3Rh. The X-ray powder pattern is simulated, not measured: it uses a crystal structure in Alexandria, relaxed with PBE and Cu Kα (λ = 1.5418 Å).
Neutral-atom scattering factors, no anomalous dispersion.

Atomic structure:
Lattice parameters (Å, degrees): 8.3807 8.3807 8.3807 17.83 17.83 17.83
Positions (direct):
Ni (0.0000, 0.0000, 0.0000)
Ni (0.2531, 0.2531, 0.2531)
Ni (0.7469, 0.7469, 0.7469)
Rh (0.5000, 0.5000, 0.5000)

Top 10 peaks for 10° ≤ 2θ ≤ 90°, sorted by position:
2theta  I (rel.)
10.7  12
21.6  4
32.6  3
42.8  100
43.9  30
50.2  61
72.8  19
74.5  17
88.3  11
89.1  22


Diffraction record for CaPr3Dy3. The X-ray powder pattern is simulated, not measured: it uses a crystal structure in Alexandria, relaxed with PBE and Cu Kα (λ = 1.5418 Å).
Neutral-atom scattering factors, no anomalous dispersion.

Atomic structure:
Lattice parameters (Å, degrees): 7.3354 8.1672 8.9613 68.48 89.81 76.96
Positions (direct):
Ca (0.0362, 0.3539, 0.2197)
Ca (0.9638, 0.6461, 0.7803)
Pr (0.1841, 0.7932, 0.0755)
Pr (0.3286, 0.2128, 0.9226)
Pr (0.3984, 0.9203, 0.3655)
Pr (0.6016, 0.0797, 0.6345)
Pr (0.6714, 0.7872, 0.0774)
Pr (0.8159, 0.2068, 0.9245)
Dy (0.1097, 0.0760, 0.6460)
Dy (0.2576, 0.5014, 0.4985)
Dy (0.4630, 0.6422, 0.7857)
Dy (0.5370, 0.3578, 0.2143)
Dy (0.7424, 0.4986, 0.5015)
Dy (0.8903, 0.9240, 0.3540)

Top 10 peaks for 10° ≤ 2θ ≤ 90°, sorted by position:
2theta  I (rel.)
29.9  34
29.9  100
34.6  23
34.7  23
34.7  22
49.7  16
49.9  32
59.2  19
59.3  23
81.1  9


Diffraction record for Ho6TaSe12. The X-ray powder pattern is simulated, not measured: it uses a crystal structure in Alexandria, relaxed with PBE and Cu Kα (λ = 1.5418 Å).
Neutral-atom scattering factors, no anomalous dispersion.

Atomic structure:
Lattice parameters (Å, degrees): 8.0825 8.0825 8.0825 98.69 98.69 98.69
Positions (direct):
Ho (0.1373, 0.8070, 0.6357)
Ho (0.1930, 0.3643, 0.8627)
Ho (0.3643, 0.8627, 0.1930)
Ho (0.6357, 0.1373, 0.8070)
Ho (0.8070, 0.6357, 0.1373)
Ho (0.8627, 0.1930, 0.3643)
Ta (0.5000, 0.5000, 0.5000)
Se (0.0705, 0.9218, 0.3206)
Se (0.0782, 0.6794, 0.9295)
Se (0.1822, 0.4324, 0.5213)
Se (0.3206, 0.0705, 0.9218)
Se (0.4324, 0.5213, 0.1822)
Se (0.4787, 0.8178, 0.5676)
Se (0.5213, 0.1822, 0.4324)
Se (0.5676, 0.4787, 0.8178)
Se (0.6794, 0.9295, 0.0782)
Se (0.8178, 0.5676, 0.4787)
Se (0.9218, 0.3206, 0.0705)
Se (0.9295, 0.0782, 0.6794)

Top 10 peaks for 10° ≤ 2θ ≤ 90°, sorted by position:
2theta  I (rel.)
22.8  25
23.4  100
31.3  17
34.1  36
38.1  57
38.9  55
40.1  15
45.5  17
45.9  17
71.2  18


Diffraction record for Zn. The X-ray powder pattern is simulated, not measured: it uses a crystal structure in Alexandria, relaxed with PBE and Cu Kα (λ = 1.5418 Å).
Neutral-atom scattering factors, no anomalous dispersion.

Atomic structure:
Lattice parameters (Å, degrees): 2.6566 2.6566 4.9682 90.00 90.00 120.00
Positions (direct):
Zn (0.3333, 0.6667, 0.2500)
Zn (0.6667, 0.3333, 0.7500)

Top 10 peaks for 10° ≤ 2θ ≤ 90°, sorted by position:
2theta  I (rel.)
36.2  37
39.2  22
43.3  100
54.4  17
70.0  22
71.0  14
76.7  4
82.3  18
86.9  12
89.7  4


Diffraction record for NaLiTm2O4. The X-ray powder pattern is simulated, not measured: it uses a crystal structure in Alexandria, relaxed with PBE and Cu Kα (λ = 1.5418 Å).
Neutral-atom scattering factors, no anomalous dispersion.

Atomic structure:
Lattice parameters (Å, degrees): 6.6479 6.6479 6.6479 120.44 119.72 89.86
Positions (direct):
Na (0.5000, 0.0000, 0.0000)
Na (0.5000, 0.5000, 0.5000)
Li (0.0000, 0.0000, 0.0000)
Li (0.5000, 0.0000, 0.5000)
Tm (0.0000, 0.0000, 0.5000)
Tm (0.0000, 0.5000, 0.0000)
Tm (0.0000, 0.5000, 0.5000)
Tm (0.5000, 0.5000, 0.0000)
O (0.2158, 0.7392, 0.4766)
O (0.2375, 0.2608, 0.9766)
O (0.2389, 0.2574, 0.5185)
O (0.2389, 0.7204, 0.9815)
O (0.7611, 0.2796, 0.0185)
O (0.7611, 0.7426, 0.4815)
O (0.7625, 0.7392, 0.0234)
O (0.7842, 0.2608, 0.5234)

Top 10 peaks for 10° ≤ 2θ ≤ 90°, sorted by position:
2theta  I (rel.)
16.3  69
16.4  85
31.5  60
31.7  24
32.9  49
33.1  48
38.3  100
55.3  44
65.8  23
66.2  15